Calculated PXRD pattern of Ca3Al4Si8Cl2O24 for Cu Ka, from DFT lattice parameters and positions (GGA-PBE).
No peak broadening, texture or thermal motion is included.

Main lines, sorted by position (5° ≤ 2θ ≤ 70°):
2θ/deg	I/Imax
9.37	100
9.46	44
17.80	10
20.24	7
29.96	10
30.97	8

Structural model:
Cell lengths 9.417, 9.486, 9.574 Å; angles 95.55, 94.21, 95.18 degrees
Element x y z (fractional)
1 Ca 0.000 0.000 0.000
2 Ca 0.197 0.229 0.260
3 Ca 0.459 0.461 0.441
4 Al 0.102 0.574 0.316
5 Al 0.320 0.136 0.541
6 Al 0.338 0.908 0.093
7 Al 0.888 0.139 0.315
8 Si 0.103 0.920 0.314
9 Si 0.108 0.358 0.876
10 Si 0.111 0.368 0.540
11 Si 0.322 0.127 0.878
12 Si 0.326 0.559 0.092
13 Si 0.543 0.342 0.083
14 Si 0.545 0.133 0.302
15 Si 0.889 0.357 0.094
16 Cl 0.638 0.482 0.641
17 Cl 0.860 0.801 0.856
18 O 0.008 0.254 0.431
19 O 0.090 0.359 0.707
20 O 0.112 0.755 0.322
21 O 0.116 0.524 0.488
22 O 0.171 0.205 0.920
23 O 0.184 0.027 0.443
24 O 0.184 0.975 0.174
25 O 0.220 0.487 0.954
26 O 0.262 0.501 0.239
27 O 0.272 0.313 0.507
28 O 0.296 0.972 0.931
29 O 0.339 0.122 0.715
30 O 0.343 0.728 0.098
31 O 0.458 0.229 0.963
32 O 0.467 0.140 0.444
33 O 0.484 0.499 0.084
34 O 0.487 0.007 0.184
35 O 0.496 0.289 0.237
36 O 0.714 0.154 0.334
37 O 0.715 0.351 0.075
38 O 0.940 0.205 0.149
39 O 0.943 0.968 0.280
40 O 0.952 0.358 0.938
41 O 0.961 0.484 0.205

Calculated PXRD pattern of CaAl8Cu4 for Cu Ka, from DFT lattice parameters and positions (GGA-PBE).
No peak broadening, texture or thermal motion is included.

Main lines, sorted by position (5° ≤ 2θ ≤ 70°):
2θ/deg	I/Imax
20.04	43
28.48	19
40.71	100
45.77	65
58.94	20
66.73	10

Structural model:
Cell lengths 6.770, 6.770, 6.770 Å; angles 98.23, 98.23, 135.55 degrees
Element x y z (fractional)
1 Ca 0.000 0.000 0.000
2 Al 0.000 0.349 0.349
3 Al 0.000 0.651 0.651
4 Al 0.280 0.500 0.780
5 Al 0.349 0.000 0.349
6 Al 0.500 0.280 0.780
7 Al 0.500 0.720 0.220
8 Al 0.651 0.000 0.651
9 Al 0.720 0.500 0.220
10 Cu 0.000 0.000 0.500
11 Cu 0.000 0.500 0.000
12 Cu 0.500 0.000 0.000
13 Cu 0.500 0.500 0.500

Calculated PXRD pattern of CaDyAl4 for Cu Ka, from DFT lattice parameters and positions (GGA-PBE).
No peak broadening, texture or thermal motion is included.

Main lines, sorted by position (5° ≤ 2θ ≤ 70°):
2θ/deg	I/Imax
19.41	56
22.45	28
31.96	70
37.67	100
56.96	26
60.77	33

Structural model:
Cell lengths 5.600, 5.600, 5.600 Å; angles 60.00, 60.00, 60.00 degrees
Element x y z (fractional)
1 Ca 0.000 0.000 0.000
2 Dy 0.250 0.250 0.250
3 Al 0.126 0.625 0.625
4 Al 0.625 0.126 0.625
5 Al 0.625 0.625 0.126
6 Al 0.625 0.625 0.625

Calculated PXRD pattern of CaErAl4 for Cu Ka, from DFT lattice parameters and positions (GGA-PBE).
No peak broadening, texture or thermal motion is included.

Main lines, sorted by position (5° ≤ 2θ ≤ 70°):
2θ/deg	I/Imax
19.45	58
22.49	29
32.02	70
37.74	100
57.08	27
60.89	33

Structural model:
Cell lengths 5.590, 5.590, 5.590 Å; angles 60.00, 60.00, 60.00 degrees
Element x y z (fractional)
1 Ca 0.000 0.000 0.000
2 Er 0.250 0.250 0.250
3 Al 0.125 0.625 0.625
4 Al 0.625 0.125 0.625
5 Al 0.625 0.625 0.125
6 Al 0.625 0.625 0.625

Calculated PXRD pattern of Ca2AlF7 for Cu Ka, from DFT lattice parameters and positions (GGA-PBE).
No peak broadening, texture or thermal motion is included.

Main lines, sorted by position (5° ≤ 2θ ≤ 70°):
2θ/deg	I/Imax
22.80	36
24.61	77
25.14	100
30.48	48
39.34	38
47.74	47

Structural model:
Cell lengths 7.801, 7.086, 9.667 Å; angles 90.00, 90.00, 90.00 degrees
Element x y z (fractional)
1 Ca 0.116 0.250 0.241
2 Ca 0.194 0.750 0.396
3 Ca 0.306 0.250 0.896
4 Ca 0.384 0.750 0.741
5 Ca 0.616 0.250 0.259
6 Ca 0.694 0.750 0.104
7 Ca 0.806 0.250 0.604
8 Ca 0.884 0.750 0.759
9 Al 0.190 0.750 0.057
10 Al 0.310 0.250 0.557
11 Al 0.690 0.750 0.443
12 Al 0.810 0.250 0.943
13 F 0.031 0.250 0.009
14 F 0.095 0.250 0.624
15 F 0.126 0.750 0.630
16 F 0.132 0.572 0.186
17 F 0.132 0.928 0.186
18 F 0.249 0.074 0.425
19 F 0.249 0.426 0.425
20 F 0.251 0.574 0.925
21 F 0.251 0.926 0.925
22 F 0.368 0.072 0.686
23 F 0.368 0.428 0.686
24 F 0.374 0.250 0.130
25 F 0.405 0.750 0.124
26 F 0.469 0.750 0.509
27 F 0.531 0.250 0.491
28 F 0.595 0.250 0.876
29 F 0.626 0.750 0.870
30 F 0.632 0.572 0.314
31 F 0.632 0.928 0.314
32 F 0.749 0.074 0.075
33 F 0.749 0.426 0.075
34 F 0.751 0.574 0.575
35 F 0.751 0.926 0.575
36 F 0.868 0.072 0.814
37 F 0.868 0.428 0.814
38 F 0.874 0.250 0.370
39 F 0.905 0.750 0.376
40 F 0.969 0.750 0.991